Diffraction record for La2As2H. The XRD peak list is calculated, not measured: it uses DFT lattice parameters and positions (GGA-PBE) and Cu Kα, 1.54184 Å.

```
La2As2H
1.0
7.524 0.000 0.000
0.000 7.524 0.000
0.000 0.000 4.294
La As H
4 4 2
direct
0.186 0.314 0.000 La
0.314 0.814 0.000 La
0.686 0.186 0.000 La
0.814 0.686 0.000 La
0.117 0.617 0.500 As
0.383 0.117 0.500 As
0.617 0.883 0.500 As
0.883 0.383 0.500 As
0.000 0.000 0.000 H
0.500 0.500 0.000 H
```

Largest 6 diffraction maxima, most intense first, 10° ≤ 2θ ≤ 90°:
2θ = 33.84°, I 100.0, (2 1 1); 2θ = 31.62°, I 30.4, (2 0 1); 2θ = 16.66°, I 28.0, (1 1 0); 2θ = 23.65°, I 22.9, (2 0 0); 2θ = 54.65°, I 16.7, (4 1 1); 2θ = 42.09°, I 15.5, (0 0 2)